1.
For Cs2LaAs2O7, a DFT-relaxed cell (PBE, Alexandria) gives the theoretical powder X-ray diffraction pattern in this record (copper Kα).
Neutral-atom scattering factors, no anomalous dispersion.

Peak list (12 most intense, 2θ = 10–90°, by intensity)
two_theta  I_rel
28.4  100
25.3  86
22.5  47
45.7  27
36.6  27
48.5  25
50.4  20
58.9  18
38.4  17
56.1  16
47.0  15
23.1  14

Atomic structure:
```
Cs2LaAs2O7
1.0
3.1375 1.8114 7.6939
-3.1375 1.8114 7.6939
0.0000 -3.6228 7.6939
Cs La As O
2 1 2 7
direct
0.2314 0.2314 0.2314
0.7686 0.7686 0.7686
0.0000 0.0000 0.0000
0.4176 0.4176 0.4176
0.5824 0.5824 0.5824
0.2406 0.2406 0.6973
0.2406 0.6973 0.2406
0.3027 0.7594 0.7594
0.5000 0.5000 0.5000
0.6973 0.2406 0.2406
0.7594 0.3027 0.7594
0.7594 0.7594 0.3027
```


2.
For CsLaAs2Pt4, a DFT-relaxed cell (PBE, Alexandria) gives the theoretical powder X-ray diffraction pattern in this record (copper Kα).
Neutral-atom scattering factors, no anomalous dispersion.

Peak list (12 most intense, 2θ = 10–90°, by intensity)
two_theta  I_rel
38.4  100
34.4  96
44.1  68
14.9  61
26.4  58
49.5  53
22.4  43
77.3  26
31.7  26
85.1  23
64.2  23
50.0  21

Atomic structure:
```
CsLaAs2Pt4
1.0
4.1058 0.0000 0.0000
0.0000 4.1058 0.0000
0.0000 0.0000 11.9275
Cs La As Pt
1 1 2 4
direct
0.0000 0.0000 0.0000
0.0000 0.0000 0.5000
0.5000 0.5000 0.1950
0.5000 0.5000 0.8050
0.0000 0.5000 0.3100
0.0000 0.5000 0.6900
0.5000 0.0000 0.3100
0.5000 0.0000 0.6900
```


3.
For Cs5Li3As3, a DFT-relaxed cell (PBE, Alexandria) gives the theoretical powder X-ray diffraction pattern in this record (copper Kα).
Neutral-atom scattering factors, no anomalous dispersion.

Peak list (12 most intense, 2θ = 10–90°, by intensity)
two_theta  I_rel
18.1  100
33.0  87
27.4  73
24.1  56
30.3  55
46.3  34
52.1  22
55.6  20
44.3  20
44.4  19
36.6  18
18.2  14

Atomic structure:
```
Cs5Li3As3
1.0
11.2824 0.0000 0.0000
-5.6412 9.7709 0.0000
0.0000 0.0000 4.9125
Cs Li As
5 3 3
direct
0.0000 0.2713 0.0000
0.2713 0.0000 0.0000
0.3333 0.6667 0.0000
0.6667 0.3333 0.0000
0.7287 0.7287 0.0000
0.0000 0.6339 0.5000
0.3661 0.3661 0.5000
0.6339 0.0000 0.5000
0.0000 0.6346 0.0000
0.3654 0.3654 0.0000
0.6346 0.0000 0.0000
```


4.
For Cs2LiZnAs2, a DFT-relaxed cell (PBE, Alexandria) gives the theoretical powder X-ray diffraction pattern in this record (copper Kα).
Neutral-atom scattering factors, no anomalous dispersion.

Peak list (12 most intense, 2θ = 10–90°, by intensity)
two_theta  I_rel
28.2  100
27.2  47
48.7  42
38.8  38
34.3  34
46.3  21
62.0  17
21.7  15
50.5  14
20.5  12
14.5  10
29.1  9

Atomic structure:
```
Cs2LiZnAs2
1.0
-3.2741 8.6612 3.2825
3.2741 -8.6612 3.2825
3.2741 8.6612 -3.2825
Cs Li Zn As
4 2 2 4
direct
0.1643 0.2403 0.4046
0.3357 0.7403 0.0760
0.6643 0.2597 0.9240
0.8357 0.7597 0.5954
0.2500 0.2500 0.0000
0.7500 0.7500 0.0000
0.2500 0.7500 0.5000
0.7500 0.2500 0.5000
0.0752 0.7308 0.8060
0.4248 0.2308 0.6555
0.5752 0.7692 0.3445
0.9248 0.2692 0.1940
```


5.
For CsMgAs2Pd4, a DFT-relaxed cell (PBE, Alexandria) gives the theoretical powder X-ray diffraction pattern in this record (copper Kα).
Neutral-atom scattering factors, no anomalous dispersion.

Peak list (12 most intense, 2θ = 10–90°, by intensity)
two_theta  I_rel
31.3  100
27.1  98
43.0  85
46.0  78
25.3  67
39.7  63
50.6  39
51.6  32
81.0  29
62.5  28
16.8  25
33.2  21

Atomic structure:
```
CsMgAs2Pd4
1.0
4.2027 0.0000 0.0000
0.0000 4.2027 0.0000
0.0000 0.0000 10.5416
Cs Mg As Pd
1 1 2 4
direct
0.0000 0.0000 0.0000
0.0000 0.0000 0.5000
0.5000 0.5000 0.2220
0.5000 0.5000 0.7780
0.0000 0.5000 0.3410
0.0000 0.5000 0.6590
0.5000 0.0000 0.3410
0.5000 0.0000 0.6590
```


6.
For Cs2RbMgAs2, a DFT-relaxed cell (PBE, Alexandria) gives the theoretical powder X-ray diffraction pattern in this record (copper Kα).
Neutral-atom scattering factors, no anomalous dispersion.

Peak list (12 most intense, 2θ = 10–90°, by intensity)
two_theta  I_rel
27.4  100
33.2  41
45.7  22
24.0  21
25.2  19
51.7  16
21.3  16
33.5  14
32.7  14
30.6  13
41.3  13
19.5  12

Atomic structure:
```
Cs2RbMgAs2
1.0
-4.1639 8.1760 3.5373
4.1639 -8.1760 3.5373
4.1639 8.1760 -3.5373
Cs Rb Mg As
4 2 2 4
direct
0.1793 0.2127 0.3920
0.3207 0.7127 0.0334
0.6793 0.2873 0.9666
0.8207 0.7873 0.6080
0.2500 0.7500 0.5000
0.7500 0.2500 0.5000
0.2500 0.2500 0.0000
0.7500 0.7500 0.0000
0.0902 0.8151 0.9052
0.4098 0.3151 0.7249
0.5902 0.6849 0.2751
0.9098 0.1849 0.0948
```